CaMn2O4: computed powder XRD pattern (copper Kα), based on a crystal structure in the Materials Project, relaxed with GGA+U.

Structural model:
Cell: 3.319 5.076 5.938 Å, 67.79 80.32 82.43°
Element x y z (fractional)
Ca: 0.000 0.000 0.000
Mn: 0.305 0.281 0.460
Mn: 0.695 0.719 0.540
O: 0.147 0.468 0.699
O: 0.407 0.024 0.283
O: 0.593 0.976 0.717
O: 0.853 0.532 0.301

Peak list (12 most intense, 10 to 80 degrees two-theta, low angle first)
2θ (°)	I (rel.)	index
16.3	100	0 0 1
29.3	28	0 1 -1
31.0	46	1 1 1
32.2	30	1 1 0
33.8	21	1 0 -1
34.7	26	1 -1 0
35.8	25	0 2 1
41.0	35	1 1 -1
45.9	28	-1 1 2
51.0	25	1 -1 2
51.2	24	0 2 3
56.8	17	2 0 1